For MgInNi2SbO6, a DFT-relaxed cell (GGA+U, the Materials Project) gives the calculated X-ray powder pattern in this record (copper Kα).
Intensities are scaled so that the largest is 100.

Structure:
```
MgInNi2SbO6
1.0
5.5045 0.0000 0.0000
2.6824 4.8249 0.0000
2.1628 1.8044 5.3846
Mg In Ni Sb O
1 1 2 1 6
Cartesian
0.0000 0.0000 0.0000
7.7798 5.1114 3.2476
2.1475 1.9632 2.2257
5.0116 3.5468 0.8918
5.2900 3.6485 4.2998
3.6657 5.2792 1.7071
3.1062 2.8452 0.7697
5.7797 5.8619 3.7123
8.3890 6.4213 4.9284
6.3512 3.4722 2.3784
7.3200 3.7712 4.8564
```

Peak list (6 most intense, 2θ = 5–70°, by angle)
22.6°, rel. 47
32.1°, rel. 56
32.4°, rel. 100
32.8°, rel. 95
35.2°, rel. 49
44.6°, rel. 24

For RbMgInW2O8, a DFT-relaxed cell (GGA+U, the Materials Project) gives the calculated X-ray powder pattern in this record (copper Kα).
Intensities are scaled so that the largest is 100.

Structure:
```
RbMgInW2O8
1.0
6.1560 0.0000 0.0000
-3.0780 5.3313 0.0000
0.0000 0.0000 7.1848
Rb Mg In W O
1 1 1 2 8
Cartesian
0.0000 0.0000 0.0000
3.0780 1.7771 5.2309
0.0000 0.0000 3.5123
0.0000 3.5542 5.3343
3.0780 1.7771 1.9814
0.0000 1.7860 4.8193
-1.5313 4.4383 4.8193
1.5021 0.8672 2.2403
0.0000 3.5542 7.0951
1.5313 4.4383 4.8193
3.0780 1.7771 0.0869
4.6539 0.8672 2.2403
3.0780 3.5968 2.2403
```

Peak list (6 most intense, 2θ = 5–70°, by angle)
20.7°, rel. 100
29.0°, rel. 75
30.0°, rel. 54
42.2°, rel. 25
46.8°, rel. 24
52.0°, rel. 24

For RbMgInW2O8, a DFT-relaxed cell (GGA+U, the Materials Project) gives the calculated X-ray powder pattern in this record (copper Kα).
Intensities are scaled so that the largest is 100.

Structure:
```
RbMgInW2O8
1.0
6.0546 0.0000 0.0000
-3.0273 5.2435 0.0000
0.0000 0.0000 10.3073
Rb Mg In W O
1 1 1 2 8
Cartesian
0.0000 0.0000 0.0000
0.0000 0.0000 6.7336
0.0000 0.0000 3.8677
0.0000 3.4956 8.1078
3.0273 1.7478 1.9557
0.0000 1.7699 7.5162
-1.4945 4.3585 7.5162
0.0000 3.4956 9.8832
1.5213 0.8783 2.5263
1.4945 4.3585 7.5162
3.0273 1.7478 0.1790
4.5333 0.8783 2.5263
3.0273 3.4868 2.5263
```

Peak list (6 most intense, 2θ = 5–70°, by angle)
19.0°, rel. 100
24.2°, rel. 38
29.5°, rel. 48
31.1°, rel. 35
46.7°, rel. 19
53.8°, rel. 16

For SrMgInWO6, a DFT-relaxed cell (GGA+U, the Materials Project) gives the calculated X-ray powder pattern in this record (copper Kα).
Intensities are scaled so that the largest is 100.

Structure:
```
SrMgInWO6
1.0
0.0000 4.0017 4.0017
4.0017 0.0000 4.0017
4.0017 4.0017 0.0000
Sr Mg In W O
1 1 1 1 6
Cartesian
0.0000 0.0000 0.0000
2.0008 2.0008 2.0008
4.0017 4.0017 4.0017
6.0025 6.0025 6.0025
6.0025 6.0025 4.0552
6.0025 4.0552 6.0025
7.9498 6.0025 6.0025
4.0552 6.0025 6.0025
6.0025 7.9498 6.0025
6.0025 6.0025 7.9498
```

Peak list (6 most intense, 2θ = 5–70°, by angle)
19.2°, rel. 41
31.6°, rel. 100
37.3°, rel. 22
45.3°, rel. 33
56.3°, rel. 40
66.0°, rel. 20

For Na2MnInSi2O9, a DFT-relaxed cell (GGA+U, the Materials Project) gives the calculated X-ray powder pattern in this record (copper Kα).
Intensities are scaled so that the largest is 100.

Structure:
```
Na2MnInSi2O9
1.0
8.1546 -3.7120 0.0000
8.1546 3.7120 0.0000
0.0000 0.0000 7.2993
Na Mn In Si O
4 2 2 4 18
Cartesian
3.6447 0.2280 0.0000
3.6447 -0.2280 3.6497
12.6645 0.2280 0.0000
12.6645 -0.2280 3.6497
8.1546 1.1028 4.3410
8.1546 -1.1028 0.6913
8.1546 3.4856 7.2769
8.1546 -3.4856 3.6273
6.1497 1.4460 1.7688
10.1594 1.4460 1.7688
6.1497 -1.4460 5.4184
10.1594 -1.4460 5.4184
6.3660 2.6123 0.6436
4.5943 1.1257 2.0126
6.8750 2.0293 3.1688
8.1546 2.5974 5.3640
9.9432 2.6123 0.6436
9.4342 2.0293 3.1688
6.8599 0.0601 1.2274
6.8599 -0.0601 4.8771
4.5943 -1.1257 5.6623
11.7148 1.1257 2.0126
9.4493 0.0601 1.2274
9.4493 -0.0601 4.8771
6.8750 -2.0293 6.8185
6.3660 -2.6123 4.2932
8.1546 -2.5974 1.7144
9.4342 -2.0293 6.8185
11.7148 -1.1257 5.6623
9.9432 -2.6123 4.2932
```

Peak list (6 most intense, 2θ = 5–70°, by angle)
10.8°, rel. 100
13.1°, rel. 24
23.7°, rel. 29
27.8°, rel. 41
29.1°, rel. 18
32.9°, rel. 19

For MnIn2O4, a DFT-relaxed cell (GGA+U, the Materials Project) gives the calculated X-ray powder pattern in this record (copper Kα).
Intensities are scaled so that the largest is 100.

Structure:
```
MnIn2O4
1.0
0.0000 4.5886 4.5886
4.5886 0.0000 4.5886
4.5886 4.5886 0.0000
Mn In O
2 4 8
Cartesian
1.1471 1.1471 1.1471
8.0300 8.0300 8.0300
4.5886 2.2943 2.2943
2.2943 4.5886 2.2943
2.2943 2.2943 4.5886
4.5886 4.5886 4.5886
2.3747 2.3747 2.3747
4.5082 4.5082 2.3747
4.5082 2.3747 4.5082
6.8025 4.6690 4.6690
2.3747 4.5082 4.5082
4.6690 6.8025 4.6690
4.6690 4.6690 6.8025
6.8025 6.8025 6.8025
```

Peak list (6 most intense, 2θ = 5–70°, by angle)
16.7°, rel. 47
32.4°, rel. 100
33.8°, rel. 35
39.3°, rel. 35
51.8°, rel. 37
56.7°, rel. 47

For Mn3In2Sb3O14, a DFT-relaxed cell (GGA+U, the Materials Project) gives the calculated X-ray powder pattern in this record (copper Kα).
Intensities are scaled so that the largest is 100.

Structure:
```
Mn3In2Sb3O14
1.0
7.1384 0.0000 0.0000
-3.4904 6.2300 0.0000
-0.1266 -4.1031 12.0054
Mn In Sb O
6 4 6 28
Cartesian
0.0000 0.0000 0.0000
-1.8085 1.0635 6.0027
1.7536 -1.0247 3.0047
3.5059 -2.0515 6.0027
1.8240 3.1150 0.0000
1.7678 3.1516 9.0007
0.0060 2.0935 2.9385
1.6908 -3.0781 9.0577
1.8305 5.2050 2.9478
3.5153 0.0334 9.0669
-0.0633 -2.0515 6.0027
-1.7452 3.1150 0.0000
-0.0538 0.0370 9.0351
3.5692 0.0000 0.0000
1.7607 1.0635 6.0027
3.5752 2.0900 2.9704
-1.4966 -0.9227 10.0431
-0.0117 0.0088 2.2738
-1.5665 0.9205 8.1575
-0.0604 -1.6628 7.9768
-2.1121 2.9336 6.4918
-1.4623 5.0410 0.3615
0.0490 2.4813 0.5547
-0.0329 1.7167 5.5257
1.4577 -0.8503 5.5100
2.0120 -2.8483 11.4545
1.4045 -0.8188 10.0389
0.0793 1.7666 10.0417
0.0710 4.1423 3.6919
1.4322 0.8681 7.9783
2.0892 1.2588 4.0271
3.4503 -2.0154 8.3136
3.4421 0.3603 1.9638
2.1168 2.9457 1.9665
1.5094 4.9752 0.5510
2.0636 2.9772 6.4954
3.5542 0.4102 6.4798
3.4723 -0.3544 11.4507
4.9837 -2.9141 11.6439
5.6335 -0.8066 5.5137
3.5817 3.7897 4.0287
5.0879 1.2064 3.8479
3.5331 2.1181 9.7317
5.0179 3.0496 1.9623
```

Peak list (6 most intense, 2θ = 5–70°, by angle)
29.8°, rel. 54
30.3°, rel. 100
30.8°, rel. 49
35.1°, rel. 56
49.9°, rel. 34
51.2°, rel. 32

For Mn3In2Sb3O14, a DFT-relaxed cell (GGA+U, the Materials Project) gives the calculated X-ray powder pattern in this record (copper Kα).
Intensities are scaled so that the largest is 100.

Structure:
```
Mn3In2Sb3O14
1.0
7.1356 0.0000 0.0000
3.5198 6.2077 0.0000
3.5013 2.0283 12.1644
Mn In Sb O
6 4 6 28
Cartesian
0.0000 0.0000 0.0000
5.2741 7.2198 6.0829
3.5413 2.0575 3.0447
7.0803 4.1178 6.0826
5.3317 3.0962 0.0002
10.6186 6.1773 9.1202
5.3005 5.1620 3.0368
7.0513 6.1770 9.1291
7.1082 2.0568 3.0398
8.8597 3.0715 9.1277
5.2625 5.1313 12.1643
3.5121 4.1169 6.0826
5.2925 3.0722 9.1236
7.0878 6.2060 0.0000
8.8397 7.2201 6.0828
8.8671 5.1614 3.0408
3.8805 4.0111 8.0506
1.7578 1.0219 3.7668
5.1771 4.7656 10.1947
3.7692 2.1956 9.9953
6.7062 6.3805 11.6310
3.7875 2.1959 5.6733
5.3080 4.7619 5.5501
5.2920 5.5654 0.5337
3.2978 1.9200 0.4007
7.3936 5.9744 6.6140
6.8144 3.9491 8.2532
5.4060 1.3783 8.0527
5.3240 3.0926 2.3131
6.7043 2.1295 10.1981
7.4546 6.1034 1.9662
8.8367 5.1406 9.8520
8.7544 6.8549 4.1123
7.3452 4.2834 3.9116
6.7661 2.2584 5.5508
10.8621 6.3134 11.7632
8.8667 2.6710 11.6317
8.8519 3.4719 6.6150
10.3732 6.0379 6.4908
7.4514 1.8547 0.5323
10.3902 6.0385 2.1700
8.9844 3.4670 1.9698
12.4022 7.2111 8.3978
10.2799 4.2217 4.1143
```

Peak list (6 most intense, 2θ = 5–70°, by angle)
29.4°, rel. 57
30.4°, rel. 100
30.6°, rel. 51
34.9°, rel. 39
49.6°, rel. 53
51.2°, rel. 32